1.
Diffraction record for TlCu2Te2. The X-ray diffraction stick pattern is computed, not measured: it uses DFT lattice parameters and positions (GGA-PBE) and Cu Kα X-rays.
Neutral-atom scattering factors, no anomalous dispersion.

Principal peaks in the range 2θ = 10–80°, sorted by position:
two_theta  Rel. int.
25.09  56
31.73  100
32.00  25
33.93  39
45.10  14
45.88  33
46.95  37
53.00  15
56.86  38
66.30  18

Structure:
```
data_TlCu2Te2
_chemical_formula_sum 'Tl1 Cu2 Te2'
_space_group_name_H-M_alt 'P 1'
_space_group_IT_number 1
_space_group_name_Hall 'P 1'
_cell_length_a 3.956
_cell_length_b 3.956
_cell_length_c 8.041
_cell_angle_alpha 90.00
_cell_angle_beta 90.00
_cell_angle_gamma 90.00
loop_
_atom_site_label
_atom_site_type_symbol
_atom_site_fract_x
_atom_site_fract_y
_atom_site_fract_z
Tl1 Tl 0.000 0.000 0.000
Cu1 Cu 0.000 0.500 0.500
Cu2 Cu 0.500 0.000 0.500
Te1 Te 0.500 0.500 0.277
Te2 Te 0.500 0.500 0.723
```

2.
Diffraction record for NaLi2TlCd. The X-ray diffraction stick pattern is computed, not measured: it uses DFT lattice parameters and positions (GGA-PBE) and Cu Kα X-rays.
Neutral-atom scattering factors, no anomalous dispersion.

Principal peaks in the range 2θ = 10–80°, sorted by position:
two_theta  Rel. int.
20.09  62
22.10  100
30.74  26
34.88  20
36.10  22
36.41  32
37.00  53
40.84  15
41.66  19
51.98  15

Structure:
```
data_NaLi2TlCd
_chemical_formula_sum 'Na2 Li4 Tl2 Cd2'
_space_group_name_H-M_alt 'P 1'
_space_group_IT_number 1
_space_group_name_Hall 'P 1'
_cell_length_a 5.925
_cell_length_b 5.925
_cell_length_c 8.839
_cell_angle_alpha 90.00
_cell_angle_beta 90.00
_cell_angle_gamma 130.34
loop_
_atom_site_label
_atom_site_type_symbol
_atom_site_fract_x
_atom_site_fract_y
_atom_site_fract_z
Na1 Na 0.000 0.000 0.000
Na2 Na 0.000 0.000 0.500
Li1 Li 0.297 0.703 0.569
Li2 Li 0.297 0.703 0.931
Li3 Li 0.703 0.297 0.069
Li4 Li 0.703 0.297 0.431
Tl1 Tl 0.208 0.792 0.250
Tl2 Tl 0.792 0.208 0.750
Cd1 Cd 0.482 0.518 0.250
Cd2 Cd 0.518 0.482 0.750
```